The following is a theoretical powder XRD pattern of TbTlHg3Se4. It was derived from a GGA-PBE-relaxed structure, using CuKα.
Neutral-atom scattering factors, no anomalous dispersion.

Main lines, sorted by position (5 to 70 degrees two-theta):
- 2θ = 8.71°, I = 96
- 2θ = 14.55°, I = 57
- 2θ = 18.42°, I = 55
- 2θ = 24.99°, I = 61
- 2θ = 28.73°, I = 93
- 2θ = 32.08°, I = 100

Crystal structure
Cell lengths 6.8418, 7.6115, 10.3837 Å; angles 90.00, 102.18, 90.00 degrees
Space group P2_1/m (No. 11)
Asymmetric unit:
Tb1 0.0324 0.2500 0.3050 x2
Tl1 0.1391 0.2500 0.9123 x2
Hg1 0.2913 0.5657 0.5196 x4
Hg2 0.4987 0.2500 0.2217 x2
Se1 0.1602 0.2500 0.5943 x2
Se2 0.2494 0.7500 0.9289 x2
Se3 0.2612 0.5256 0.2514 x4